[1]
The following is a calculated PXRD pattern of Ti3Pb5F19. It was derived from a structure optimized by DFT (PBE), using Cu Kα.
No peak broadening, texture or thermal motion is included.

Top 12 peaks for 15 to 90 degrees two-theta, in order of rising 2θ:
| 2θ (°) | intensity |
| --- | --- |
| 17.45 | 35 |
| 22.44 | 80 |
| 24.04 | 31 |
| 24.41 | 74 |
| 25.51 | 32 |
| 26.93 | 63 |
| 27.27 | 100 |
| 28.25 | 31 |
| 40.63 | 52 |
| 42.50 | 81 |
| 43.20 | 37 |
| 49.20 | 45 |

Atomic structure:
```
data_Ti3Pb5F19
_chemical_formula_sum 'Ti6 Pb10 F38'
_cell_length_a 11.194
_cell_length_b 11.194
_cell_length_c 11.194
_cell_angle_alpha 97.19
_cell_angle_beta 97.19
_cell_angle_gamma 138.55
_space_group_name_H-M_alt 'P 1'
_space_group_IT_number 1
loop_
_space_group_symop_operation_xyz
'x,y,z'
loop_
_atom_site_label
_atom_site_fract_x
_atom_site_fract_y
_atom_site_fract_z
Ti1 0.000 0.000 0.000
Ti2 0.041 0.541 0.179
Ti3 0.362 0.862 0.821
Ti4 0.500 0.500 0.000
Ti5 0.541 0.362 0.500
Ti6 0.862 0.041 0.500
Pb1 0.047 0.547 0.500
Pb2 0.072 0.912 0.702
Pb3 0.211 0.370 0.298
Pb4 0.370 0.072 0.159
Pb5 0.412 0.572 0.702
Pb6 0.547 0.047 0.500
Pb7 0.572 0.870 0.159
Pb8 0.711 0.412 0.841
Pb9 0.870 0.711 0.298
Pb10 0.912 0.211 0.841
F1 0.035 0.770 0.500
F2 0.060 0.886 0.930
F3 0.096 0.749 0.143
F4 0.099 0.728 0.744
F5 0.106 0.249 0.653
F6 0.130 0.060 0.174
F7 0.223 0.723 0.355
F8 0.228 0.599 0.744
F9 0.249 0.596 0.143
F10 0.251 0.251 0.000
F11 0.270 0.535 0.500
F12 0.355 0.099 0.371
F13 0.368 0.868 0.645
F14 0.377 0.877 0.995
F15 0.382 0.377 0.500
F16 0.386 0.560 0.930
F17 0.453 0.106 0.857
F18 0.456 0.386 0.826
F19 0.484 0.228 0.629
F20 0.535 0.035 0.265
F21 0.560 0.630 0.174
F22 0.596 0.453 0.347
F23 0.599 0.855 0.371
F24 0.606 0.953 0.857
F25 0.630 0.456 0.070
F26 0.723 0.368 0.500
F27 0.728 0.984 0.629
F28 0.749 0.606 0.653
F29 0.751 0.751 0.000
F30 0.770 0.270 0.735
F31 0.855 0.484 0.256
F32 0.868 0.223 0.500
F33 0.877 0.882 0.500
F34 0.882 0.382 0.005
F35 0.886 0.956 0.826
F36 0.953 0.096 0.347
F37 0.956 0.130 0.070
F38 0.984 0.355 0.256
```



[2]
The following is a calculated PXRD pattern of K2CaTe. It was derived from a structure optimized by DFT (PBE), using Cu Kα.
No peak broadening, texture or thermal motion is included.

Top 12 peaks for 15 to 90 degrees two-theta, in order of rising 2θ:
| 2θ (°) | intensity |
| --- | --- |
| 16.16 | 69 |
| 22.92 | 22 |
| 27.04 | 35 |
| 28.26 | 100 |
| 30.50 | 30 |
| 32.64 | 25 |
| 34.73 | 66 |
| 41.21 | 22 |
| 46.84 | 20 |
| 52.84 | 16 |
| 56.97 | 13 |
| 64.89 | 14 |

Atomic structure:
```
data_K2CaTe
_chemical_formula_sum 'K2 Ca1 Te1'
_cell_length_a 8.569
_cell_length_b 8.569
_cell_length_c 8.569
_cell_angle_alpha 151.08
_cell_angle_beta 140.00
_cell_angle_gamma 50.11
_space_group_name_H-M_alt 'P 1'
_space_group_IT_number 1
loop_
_space_group_symop_operation_xyz
'x,y,z'
loop_
_atom_site_label
_atom_site_fract_x
_atom_site_fract_y
_atom_site_fract_z
K1 0.000 0.000 0.000
K2 0.666 0.166 0.500
Ca1 0.328 0.828 0.500
Te1 0.473 0.473 0.000
```



[3]
The following is a calculated PXRD pattern of Ho11Tl4In9. It was derived from a structure optimized by DFT (PBE), using Cu Kα.
No peak broadening, texture or thermal motion is included.

Top 12 peaks for 15 to 90 degrees two-theta, in order of rising 2θ:
| 2θ (°) | intensity |
| --- | --- |
| 32.21 | 40 |
| 32.88 | 77 |
| 33.97 | 100 |
| 34.31 | 90 |
| 34.84 | 60 |
| 36.23 | 28 |
| 38.46 | 26 |
| 50.87 | 27 |
| 59.31 | 38 |
| 61.91 | 25 |
| 62.99 | 43 |
| 63.14 | 21 |

Atomic structure:
```
data_Ho11Tl4In9
_chemical_formula_sum 'Ho11 Tl4 In9'
_cell_length_a 13.836
_cell_length_b 13.836
_cell_length_c 3.590
_cell_angle_alpha 90.00
_cell_angle_beta 90.00
_cell_angle_gamma 111.49
_space_group_name_H-M_alt 'P 1'
_space_group_IT_number 1
loop_
_space_group_symop_operation_xyz
'x,y,z'
loop_
_atom_site_label
_atom_site_fract_x
_atom_site_fract_y
_atom_site_fract_z
Ho1 0.000 0.000 0.000
Ho2 0.046 0.402 0.000
Ho3 0.186 0.814 0.000
Ho4 0.228 0.228 0.000
Ho5 0.376 0.624 0.000
Ho6 0.402 0.046 0.000
Ho7 0.598 0.954 0.000
Ho8 0.624 0.376 0.000
Ho9 0.772 0.772 0.000
Ho10 0.814 0.186 0.000
Ho11 0.954 0.598 0.000
Tl1 0.249 0.423 0.500
Tl2 0.423 0.249 0.500
Tl3 0.577 0.751 0.500
Tl4 0.751 0.577 0.500
In1 0.015 0.199 0.500
In2 0.163 0.611 0.500
In3 0.199 0.015 0.500
In4 0.389 0.837 0.500
In5 0.500 0.500 0.500
In6 0.611 0.163 0.500
In7 0.801 0.985 0.500
In8 0.837 0.389 0.500
In9 0.985 0.801 0.500
```



[4]
The following is a calculated PXRD pattern of Pm3Sm4Dy3. It was derived from a structure optimized by DFT (PBE), using Cu Kα.
No peak broadening, texture or thermal motion is included.

Top 12 peaks for 15 to 90 degrees two-theta, in order of rising 2θ:
| 2θ (°) | intensity |
| --- | --- |
| 29.90 | 64 |
| 30.31 | 28 |
| 31.79 | 100 |
| 38.43 | 9 |
| 46.35 | 13 |
| 48.22 | 12 |
| 55.16 | 11 |
| 55.27 | 8 |
| 57.78 | 20 |
| 57.87 | 9 |
| 58.06 | 9 |
| 79.48 | 8 |

Atomic structure:
```
data_Pm3Sm4Dy3
_chemical_formula_sum 'Pm3 Sm4 Dy3'
_cell_length_a 3.774
_cell_length_b 9.449
_cell_length_c 9.449
_cell_angle_alpha 89.71
_cell_angle_beta 90.00
_cell_angle_gamma 90.00
_space_group_name_H-M_alt 'P 1'
_space_group_IT_number 1
loop_
_space_group_symop_operation_xyz
'x,y,z'
loop_
_atom_site_label
_atom_site_fract_x
_atom_site_fract_y
_atom_site_fract_z
Pm1 0.000 0.000 0.000
Pm2 0.000 0.500 0.842
Pm3 0.000 0.842 0.500
Sm1 0.500 0.044 0.301
Sm2 0.500 0.301 0.044
Sm3 0.500 0.541 0.541
Sm4 0.500 0.800 0.800
Dy1 0.000 0.342 0.342
Dy2 0.500 0.173 0.667
Dy3 0.500 0.667 0.173
```